(1)
Theoretical X-ray diffraction stick pattern of Pr3Nd6Hg for CuKα, from a cell relaxed with GGA-PBE.
Peak positions follow from Bragg's law for the DFT cell and can differ from measured ones.

Cell and atoms:
Cell lengths 10.703, 12.158, 5.381 Å; angles 90.00, 90.00, 90.00 degrees
Space group Pnnm (No. 58)
Unique sites:
Pr 0.000 0.000 0.000 x2
Pr 0.118 0.207 0.500 x4
Nd 0.073 0.745 0.000 x4
Nd 0.170 0.577 0.500 x4
Nd 0.224 0.883 0.500 x4
Hg 0.000 0.500 0.000 x2

Largest 10 diffraction maxima, sorted by position, 2θ from 15° to 90°:
3.235 Å, intensity 23, (0 3 1)
3.099 Å, intensity 100, (1 3 1)
2.973 Å, intensity 81, (3 0 1)
2.888 Å, intensity 69, (3 1 1)
2.690 Å, intensity 69, (0 0 2)
2.643 Å, intensity 43, (2 4 0)
2.569 Å, intensity 39, (1 4 1)
2.449 Å, intensity 18, (4 2 0)
1.885 Å, intensity 34, (2 4 2)
1.602 Å, intensity 21, (3 0 3)

---

(2)
Theoretical X-ray diffraction stick pattern of Pr3NdHg2 for CuKα, from a cell relaxed with GGA-PBE.
Peak positions follow from Bragg's law for the DFT cell and can differ from measured ones.

Cell and atoms:
Cell lengths 5.329, 9.750, 7.221 Å; angles 90.00, 90.00, 90.00 degrees
Space group Pmc2_1 (No. 26)
Unique sites:
Pr 0.000 0.056 0.000 x2
Pr 0.000 0.327 0.341 x2
Pr 0.500 0.174 0.687 x2
Nd 0.500 0.444 0.028 x2
Hg 0.000 0.352 0.784 x2
Hg 0.500 0.149 0.245 x2

Largest 10 diffraction maxima, sorted by position, 2θ from 15° to 90°:
3.220 Å, intensity 26, (1 2 1)
2.989 Å, intensity 25, (1 0 2)
2.901 Å, intensity 28, (0 2 2)
2.858 Å, intensity 100, (1 1 2)
2.775 Å, intensity 91, (1 3 0)
2.664 Å, intensity 60, (2 0 0)
2.200 Å, intensity 23, (1 3 2)
1.962 Å, intensity 19, (2 2 2)
1.573 Å, intensity 17, (3 1 2)
1.559 Å, intensity 16, (3 3 0)

---

(3)
Theoretical X-ray diffraction stick pattern of PrNd3Hg3 for CuKα, from a cell relaxed with GGA-PBE.
Peak positions follow from Bragg's law for the DFT cell and can differ from measured ones.

Cell and atoms:
Cell lengths 10.799, 10.869, 7.382 Å; angles 90.00, 90.00, 90.00 degrees
Space group Cmmm (No. 65)
Unique sites:
Pr 0.242 0.000 0.000 x4
Nd 0.000 0.244 0.500 x4
Nd 0.000 0.247 0.000 x4
Nd 0.243 0.000 0.500 x4
Hg 0.000 0.500 0.253 x4
Hg 0.250 0.250 0.252 x8

Largest 10 diffraction maxima, sorted by position, 2θ from 15° to 90°:
2.717 Å, intensity 27, (0 4 0)
2.700 Å, intensity 26, (4 0 0)
2.658 Å, intensity 100, (2 2 2)
1.915 Å, intensity 19, (4 4 0)
1.846 Å, intensity 10, (0 0 4)
1.557 Å, intensity 20, (2 6 2)
1.550 Å, intensity 19, (6 2 2)
1.527 Å, intensity 10, (0 4 4)
1.524 Å, intensity 9, (4 0 4)
1.329 Å, intensity 12, (4 4 4)

---

(4)
Theoretical X-ray diffraction stick pattern of PrNd2Hg for CuKα, from a cell relaxed with GGA-PBE.
Peak positions follow from Bragg's law for the DFT cell and can differ from measured ones.

Cell and atoms:
Cell lengths 7.891, 7.891, 7.891 Å; angles 90.00, 90.00, 90.00 degrees
Space group Fm-3m (No. 225)
Unique sites:
Pr 0.000 0.000 0.000 x4
Nd 0.250 0.250 0.250 x8
Hg 0.000 0.000 0.500 x4

Largest 10 diffraction maxima, sorted by position, 2θ from 15° to 90°:
4.556 Å, intensity 2, (1 1 1)
3.946 Å, intensity 1, (2 0 0)
2.790 Å, intensity 100, (2 2 0)
2.379 Å, intensity 1, (3 1 1)
1.973 Å, intensity 19, (4 0 0)
1.810 Å, intensity 1, (3 3 1)
1.611 Å, intensity 39, (4 2 2)
1.395 Å, intensity 12, (4 4 0)
1.248 Å, intensity 17, (6 2 0)
1.139 Å, intensity 4, (4 4 4)

---

(5)
Theoretical X-ray diffraction stick pattern of Nd3HgPt2 for CuKα, from a cell relaxed with GGA-PBE.
Peak positions follow from Bragg's law for the DFT cell and can differ from measured ones.

Cell and atoms:
Cell lengths 3.946, 17.486, 4.652 Å; angles 90.00, 90.00, 90.00 degrees
Space group Cmmm (No. 65)
Unique sites:
Nd 0.000 0.000 0.000 x2
Nd 0.000 0.161 0.500 x4
Hg 0.000 0.500 0.500 x2
Pt 0.000 0.368 0.000 x4

Largest 10 diffraction maxima, sorted by position, 2θ from 15° to 90°:
2.914 Å, intensity 19, (0 6 0)
2.674 Å, intensity 100, (1 3 1)
2.326 Å, intensity 20, (0 0 2)
2.281 Å, intensity 15, (1 5 1)
1.973 Å, intensity 12, (2 0 0)
1.818 Å, intensity 10, (0 6 2)
1.633 Å, intensity 13, (2 6 0)
1.505 Å, intensity 10, (2 0 2)
1.401 Å, intensity 14, (1 3 3)
1.237 Å, intensity 9, (3 3 1)

---

(6)
Theoretical X-ray diffraction stick pattern of Nd2Zn3HgPt4 for CuKα, from a cell relaxed with GGA-PBE.
Peak positions follow from Bragg's law for the DFT cell and can differ from measured ones.

Cell and atoms:
Cell lengths 4.115, 4.115, 11.728 Å; angles 90.00, 90.00, 90.00 degrees
Space group P-4m2 (No. 115)
Unique sites:
Nd 0.000 0.500 0.239 x2
Zn 0.000 0.500 0.872 x2
Zn 0.500 0.500 0.500 x1
Hg 0.000 0.000 0.500 x1
Pt 0.000 0.000 0.000 x1
Pt 0.000 0.500 0.660 x2
Pt 0.500 0.500 0.000 x1

Largest 10 diffraction maxima, sorted by position, 2θ from 15° to 90°:
3.368 Å, intensity 12, (1 0 2)
2.834 Å, intensity 21, (1 0 3)
2.607 Å, intensity 100, (1 1 2)
2.065 Å, intensity 25, (1 1 4)
2.058 Å, intensity 45, (2 0 0)
2.038 Å, intensity 23, (1 0 5)
1.455 Å, intensity 15, (2 2 0)
1.448 Å, intensity 15, (2 1 5)
1.270 Å, intensity 21, (3 1 2)
1.189 Å, intensity 10, (3 1 4)

---

(7)
Theoretical X-ray diffraction stick pattern of Nd2Zn2HgPt5 for CuKα, from a cell relaxed with GGA-PBE.
Peak positions follow from Bragg's law for the DFT cell and can differ from measured ones.

Cell and atoms:
Cell lengths 9.808, 9.808, 3.894 Å; angles 90.00, 90.00, 90.00 degrees
Space group P4/mbm (No. 127)
Unique sites:
Nd 0.179 0.321 0.000 x4
Zn 0.118 0.618 0.000 x4
Hg 0.000 0.000 0.000 x2
Pt 0.000 0.500 0.500 x2
Pt 0.065 0.789 0.500 x8

Largest 10 diffraction maxima, sorted by position, 2θ from 15° to 90°:
2.912 Å, intensity 25, (2 1 1)
2.590 Å, intensity 33, (2 2 1)
2.426 Å, intensity 100, (3 1 1)
2.379 Å, intensity 45, (4 1 0)
2.230 Å, intensity 37, (3 2 1)
2.193 Å, intensity 21, (4 2 0)
1.947 Å, intensity 27, (0 0 2)
1.507 Å, intensity 28, (4 1 2)
1.456 Å, intensity 11, (4 2 2)
1.307 Å, intensity 17, (7 1 1)

---

(8)
Theoretical X-ray diffraction stick pattern of NdPuHg5 for CuKα, from a cell relaxed with GGA-PBE.
Peak positions follow from Bragg's law for the DFT cell and can differ from measured ones.

Cell and atoms:
Cell lengths 4.373, 4.991, 8.928 Å; angles 90.00, 90.00, 90.00 degrees
Space group Pmmm (No. 47)
Unique sites:
Nd 0.000 0.000 0.000 x1
Pu 0.500 0.500 0.500 x1
Hg 0.000 0.500 0.247 x2
Hg 0.500 0.000 0.279 x2
Hg 0.500 0.500 0.000 x1

Largest 10 diffraction maxima, sorted by position, 2θ from 15° to 90°:
2.648 Å, intensity 100, (1 1 2)
2.496 Å, intensity 22, (0 2 0)
2.232 Å, intensity 14, (0 0 4)
2.186 Å, intensity 15, (2 0 0)
1.663 Å, intensity 14, (0 2 4)
1.645 Å, intensity 13, (2 2 0)
1.468 Å, intensity 17, (1 3 2)
1.356 Å, intensity 10, (1 1 6)
1.335 Å, intensity 13, (3 1 2)
1.324 Å, intensity 11, (2 2 4)

---

(9)
Theoretical X-ray diffraction stick pattern of NdPuHgRh for CuKα, from a cell relaxed with GGA-PBE.
Peak positions follow from Bragg's law for the DFT cell and can differ from measured ones.

Cell and atoms:
Cell lengths 3.559, 3.559, 7.664 Å; angles 90.00, 90.00, 90.00 degrees
Space group P4mm (No. 99)
Unique sites:
Nd 0.000 0.000 0.000 x1
Pu 0.000 0.000 0.564 x1
Hg 0.500 0.500 0.285 x1
Rh 0.500 0.500 0.769 x1

Largest 10 diffraction maxima, sorted by position, 2θ from 15° to 90°:
3.228 Å, intensity 14, (1 0 1)
2.608 Å, intensity 100, (1 0 2)
2.517 Å, intensity 50, (1 1 0)
1.793 Å, intensity 8, (1 1 3)
1.780 Å, intensity 18, (2 0 0)
1.524 Å, intensity 15, (1 1 4)
1.470 Å, intensity 35, (2 1 2)
1.304 Å, intensity 9, (2 0 4)
1.133 Å, intensity 8, (3 0 2)
1.125 Å, intensity 8, (3 1 0)

---

(10)
Theoretical X-ray diffraction stick pattern of Nd3Hg2Rh for CuKα, from a cell relaxed with GGA-PBE.
Peak positions follow from Bragg's law for the DFT cell and can differ from measured ones.

Cell and atoms:
Cell lengths 15.327, 6.005, 7.908 Å; angles 90.00, 104.93, 90.00 degrees
Space group C2/c (No. 15)
Unique sites:
Nd 0.000 0.001 0.250 x4
Nd 0.134 0.500 0.067 x8
Hg 0.190 0.000 0.095 x8
Rh 0.000 0.499 0.750 x4

Largest 10 diffraction maxima, sorted by position, 2θ from 15° to 90°:
3.086 Å, intensity 100, (4 0 -2)
3.016 Å, intensity 23, (1 1 2)
3.002 Å, intensity 57, (0 2 0)
2.656 Å, intensity 29, (5 1 0)
2.467 Å, intensity 24, (6 0 0)
2.152 Å, intensity 74, (4 2 -2)
1.977 Å, intensity 19, (2 0 -4)
1.651 Å, intensity 20, (2 2 -4)
1.615 Å, intensity 20, (7 1 2)
1.350 Å, intensity 19, (4 4 -2)

---

(11)
Theoretical X-ray diffraction stick pattern of Nd3Hg4Rh4 for CuKα, from a cell relaxed with GGA-PBE.
Peak positions follow from Bragg's law for the DFT cell and can differ from measured ones.

Cell and atoms:
Cell lengths 4.007, 7.981, 15.338 Å; angles 90.00, 90.00, 90.00 degrees
Space group Immm (No. 71)
Unique sites:
Nd 0.000 0.000 0.000 x2
Nd 0.000 0.500 0.118 x4
Hg 0.000 0.310 0.334 x8
Rh 0.000 0.000 0.243 x4
Rh 0.000 0.187 0.500 x4

Largest 10 diffraction maxima, sorted by position, 2θ from 15° to 90°:
3.154 Å, intensity 29, (1 0 3)
2.781 Å, intensity 99, (1 2 1)
2.617 Å, intensity 100, (1 1 4)
2.474 Å, intensity 27, (1 2 3)
2.360 Å, intensity 70, (0 3 3)
2.153 Å, intensity 28, (0 2 6)
2.129 Å, intensity 30, (1 3 2)
2.004 Å, intensity 41, (2 0 0)
1.527 Å, intensity 37, (2 3 3)
1.383 Å, intensity 29, (1 5 4)

---

(12)
Theoretical X-ray diffraction stick pattern of Nd4Hg2Rh for CuKα, from a cell relaxed with GGA-PBE.
Peak positions follow from Bragg's law for the DFT cell and can differ from measured ones.

Cell and atoms:
Cell lengths 11.184, 4.738, 8.765 Å; angles 90.00, 118.98, 90.00 degrees
Space group C2/m (No. 12)
Unique sites:
Nd 0.075 0.000 0.353 x4
Nd 0.173 0.500 0.069 x4
Hg 0.141 0.500 0.668 x4
Rh 0.000 0.000 0.000 x2

Largest 10 diffraction maxima, sorted by position, 2θ from 15° to 90°:
3.432 Å, intensity 30, (1 1 1)
3.207 Å, intensity 66, (1 1 -2)
2.924 Å, intensity 88, (3 1 -1)
2.749 Å, intensity 31, (4 0 -1)
2.686 Å, intensity 100, (3 1 0)
2.592 Å, intensity 65, (1 1 2)
2.556 Å, intensity 51, (0 0 3)
2.388 Å, intensity 59, (3 1 -3)
2.369 Å, intensity 66, (0 2 0)
1.737 Å, intensity 32, (0 2 3)